The following is a calculated powder diffraction line list of LaSm5Ga6. It was derived from DFT lattice parameters and positions (PBE), using copper Kα.
Intensities are scaled so that the largest is 1000.

Main lines, low angle first (10 to 80 degrees two-theta):
| d_spacing | I/Imax |
| --- | --- |
| 3.670 | 139 |
| 2.595 | 1000 |
| 2.119 | 42 |
| 1.836 | 118 |
| 1.833 | 59 |
| 1.643 | 20 |
| 1.640 | 39 |
| 1.499 | 181 |
| 1.497 | 181 |
| 1.297 | 92 |

Crystal structure
```
data_LaSm5Ga6
_chemical_formula_sum 'La1 Sm5 Ga6'
_cell_length_a 5.187
_cell_length_b 7.332
_cell_length_c 8.213
_cell_angle_alpha 90.00
_cell_angle_beta 108.31
_cell_angle_gamma 90.00
_space_group_name_H-M_alt 'P 1'
_space_group_IT_number 1
loop_
_space_group_symop_operation_xyz
'x,y,z'
loop_
_atom_site_label
_atom_site_type_symbol
_atom_site_fract_x
_atom_site_fract_y
_atom_site_fract_z
La1 La 0.000 0.000 0.000
Sm1 Sm 0.000 0.500 0.000
Sm2 Sm 0.333 0.000 0.665
Sm3 Sm 0.336 0.500 0.672
Sm4 Sm 0.664 0.500 0.328
Sm5 Sm 0.667 0.000 0.335
Ga1 Ga 0.170 0.255 0.340
Ga2 Ga 0.170 0.745 0.340
Ga3 Ga 0.500 0.254 0.000
Ga4 Ga 0.500 0.746 0.000
Ga5 Ga 0.830 0.255 0.660
Ga6 Ga 0.830 0.745 0.660
```

=====

The following is a calculated powder diffraction line list of Y2Ho3Hg4. It was derived from DFT lattice parameters and positions (PBE), using copper Kα.
Intensities are scaled so that the largest is 1000.

Main lines, low angle first (10 to 80 degrees two-theta):
| d_spacing | I/Imax |
| --- | --- |
| 5.023 | 292 |
| 2.995 | 479 |
| 2.961 | 398 |
| 2.616 | 1000 |
| 2.552 | 276 |
| 2.395 | 506 |
| 2.264 | 415 |
| 1.731 | 212 |
| 1.497 | 349 |
| 1.403 | 198 |

Crystal structure
```
data_Y2Ho3Hg4
_chemical_formula_sum 'Y4 Ho6 Hg8'
_cell_length_a 9.625
_cell_length_b 9.625
_cell_length_c 7.985
_cell_angle_alpha 90.00
_cell_angle_beta 90.00
_cell_angle_gamma 137.83
_space_group_name_H-M_alt 'P 1'
_space_group_IT_number 1
loop_
_space_group_symop_operation_xyz
'x,y,z'
loop_
_atom_site_label
_atom_site_type_symbol
_atom_site_fract_x
_atom_site_fract_y
_atom_site_fract_z
Y1 Y 0.095 0.905 0.912
Y2 Y 0.405 0.595 0.412
Y3 Y 0.595 0.405 0.588
Y4 Y 0.905 0.095 0.088
Ho1 Ho 0.000 0.000 0.500
Ho2 Ho 0.012 0.488 0.750
Ho3 Ho 0.488 0.012 0.250
Ho4 Ho 0.500 0.500 0.000
Ho5 Ho 0.512 0.988 0.750
Ho6 Ho 0.988 0.512 0.250
Hg1 Hg 0.166 0.834 0.534
Hg2 Hg 0.183 0.317 0.750
Hg3 Hg 0.317 0.183 0.250
Hg4 Hg 0.334 0.666 0.034
Hg5 Hg 0.666 0.334 0.966
Hg6 Hg 0.683 0.817 0.750
Hg7 Hg 0.817 0.683 0.250
Hg8 Hg 0.834 0.166 0.466
```

=====

The following is a calculated powder diffraction line list of La2FeAg. It was derived from DFT lattice parameters and positions (PBE), using copper Kα.
Intensities are scaled so that the largest is 1000.

Main lines, low angle first (10 to 80 degrees two-theta):
| d_spacing | I/Imax |
| --- | --- |
| 2.731 | 606 |
| 2.627 | 1000 |
| 2.551 | 391 |
| 2.521 | 945 |
| 1.950 | 151 |
| 1.789 | 147 |
| 1.777 | 168 |
| 1.580 | 187 |
| 1.511 | 193 |
| 1.489 | 182 |

Crystal structure
```
data_La2FeAg
_chemical_formula_sum 'La2 Fe1 Ag1'
_cell_length_a 3.587
_cell_length_b 3.553
_cell_length_c 7.818
_cell_angle_alpha 90.00
_cell_angle_beta 93.92
_cell_angle_gamma 90.00
_space_group_name_H-M_alt 'P 1'
_space_group_IT_number 1
loop_
_space_group_symop_operation_xyz
'x,y,z'
loop_
_atom_site_label
_atom_site_type_symbol
_atom_site_fract_x
_atom_site_fract_y
_atom_site_fract_z
La1 La 0.039 0.000 0.281
La2 La 0.961 0.000 0.719
Fe1 Fe 0.500 0.500 0.500
Ag1 Ag 0.500 0.500 0.000
```

=====

The following is a calculated powder diffraction line list of Si2PbAu4. It was derived from DFT lattice parameters and positions (PBE), using copper Kα.
Intensities are scaled so that the largest is 1000.

Main lines, low angle first (10 to 80 degrees two-theta):
| d_spacing | I/Imax |
| --- | --- |
| 2.602 | 1000 |
| 2.345 | 216 |
| 2.302 | 205 |
| 2.131 | 129 |
| 1.643 | 146 |
| 1.577 | 101 |
| 1.399 | 151 |
| 1.380 | 144 |
| 1.304 | 125 |
| 1.301 | 108 |

Crystal structure
```
data_Si2PbAu4
_chemical_formula_sum 'Si4 Pb2 Au8'
_cell_length_a 4.604
_cell_length_b 12.789
_cell_length_c 4.690
_cell_angle_alpha 90.00
_cell_angle_beta 90.00
_cell_angle_gamma 90.00
_space_group_name_H-M_alt 'P 1'
_space_group_IT_number 1
loop_
_space_group_symop_operation_xyz
'x,y,z'
loop_
_atom_site_label
_atom_site_type_symbol
_atom_site_fract_x
_atom_site_fract_y
_atom_site_fract_z
Si1 Si 0.000 0.094 0.000
Si2 Si 0.000 0.906 0.000
Si3 Si 0.500 0.406 0.000
Si4 Si 0.500 0.594 0.000
Pb1 Pb 0.000 0.500 0.500
Pb2 Pb 0.500 0.000 0.500
Au1 Au 0.000 0.168 0.500
Au2 Au 0.000 0.327 0.000
Au3 Au 0.000 0.673 0.000
Au4 Au 0.000 0.832 0.500
Au5 Au 0.500 0.173 0.000
Au6 Au 0.500 0.332 0.500
Au7 Au 0.500 0.668 0.500
Au8 Au 0.500 0.827 0.000
```